Diffraction record for HoTm7Co2. The powder diffractogram is simulated, not measured: it uses a structure optimized by DFT (PBE) and Cu Ka.

Structure:
```
data_HoTm7Co2
_cell_length_a 8.5878
_cell_length_b 13.4694
_cell_length_c 5.0489
_cell_angle_alpha 90.00
_cell_angle_beta 90.00
_cell_angle_gamma 90.00
_space_group_name_H-M_alt 'C m m m'
_space_group_IT_number 65
_space_group_name_Hall '-C 2 2'
loop_
_atom_site_label
_atom_site_type_symbol
_atom_site_fract_x
_atom_site_fract_y
_atom_site_fract_z
Ho1 Ho 0.0000 0.0000 0.0000
Tm1 Tm 0.0000 0.2975 0.0000
Tm2 Tm 0.0000 0.5000 0.5000
Tm3 Tm 0.1937 0.1353 0.5000
Co1 Co 0.0000 0.2950 0.5000
```

Most intense lines, 2θ from 5° to 70°, sorted by position:
two_theta, intensity, index
17.57, 37, 0 0 1
27.26, 60, 2 0 1
28.56, 100, 1 3 1
31.95, 62, 0 4 1
33.83, 68, 2 4 0
35.56, 63, 0 0 2
36.70, 46, 3 1 1
37.25, 36, 3 3 0
49.89, 46, 2 4 2
60.84, 29, 3 7 1

Diffraction record for KAlSiO4. The powder diffractogram is simulated, not measured: it uses a structure optimized by DFT (PBE) and Cu Ka.

Structure:
```
data_KAlSiO4
_cell_length_a 5.2282
_cell_length_b 5.2282
_cell_length_c 8.8585
_cell_angle_alpha 90.00
_cell_angle_beta 90.00
_cell_angle_gamma 120.00
_space_group_name_H-M_alt 'P 63'
_space_group_IT_number 173
loop_
_space_group_symop_operation_xyz
'x,y,z'
'x-y,x,z+1/2'
'-y,x-y,z'
'-x,-y,z+1/2'
'-x+y,-x,z'
'y,-x+y,z+1/2'
loop_
_atom_site_label
_atom_site_type_symbol
_atom_site_fract_x
_atom_site_fract_y
_atom_site_fract_z
K1 K 0.0000 0.0000 0.0000
Al1 Al 0.3333 0.6667 0.3064
Si1 Si 0.3333 0.6667 0.6884
O1 O 0.0145 0.3964 0.7466
O2 O 0.3333 0.6667 0.5041
```

Most intense lines, 2θ from 5° to 70°, sorted by position:
two_theta, intensity, index
20.05, 14, 0 0 2
22.05, 55, 1 0 1
28.18, 100, 1 0 2
34.30, 61, 1 1 0
35.82, 19, 1 1 1
40.05, 13, 1 1 2
40.74, 18, 0 0 4
55.71, 12, 1 0 5
57.75, 18, 2 1 2
61.43, 23, 3 0 0